The following is a simulated powder diffractogram of K2TmTaO6. It was derived from a crystal structure in Alexandria, relaxed with PBE, using copper Kα.
Neutral-atom scattering factors, no anomalous dispersion.

Crystal structure
```
10
Lattice="0.000 4.231 4.231 4.231 0.000 4.231 4.231 4.231 0.000" Properties=species:S:1:pos:R:3 pbc="T T T"
K 2.115 2.115 2.115
K 6.346 6.346 6.346
Tm 0.000 0.000 0.000
Ta 4.231 4.231 4.231
O 4.231 4.231 2.232
O 4.231 2.232 4.231
O 6.230 4.231 4.231
O 2.232 4.231 4.231
O 4.231 6.230 4.231
O 4.231 4.231 6.230
```

Largest 10 diffraction maxima, low angle first, 10° ≤ 2θ ≤ 80°:
2θ 21.0, intensity 67; 2θ 29.9, intensity 100; 2θ 36.8, intensity 7; 2θ 42.7, intensity 32; 2θ 48.1, intensity 31; 2θ 53.0, intensity 40; 2θ 62.0, intensity 20; 2θ 66.3, intensity 15; 2θ 70.4, intensity 18; 2θ 78.3, intensity 6